[1]
This entry pairs a crystal structure of Pm3Ge8Ir3 with its calculated PXRD pattern. Radiation: λ = 1.5418 Å (Cu Kα). Structure: a structure optimized by DFT (GGA-PBE).

abc: 8.4736 8.4736 8.6050
angles: 116.59 116.59 30.32
Element x y z (fractional)
Pm1 0.0000 0.0000 0.0000
Pm2 0.2822 0.2822 0.3158
Pm3 0.7178 0.7178 0.6842
Ge1 0.1240 0.1240 0.4113
Ge2 0.1737 0.1737 0.8978
Ge3 0.3676 0.3676 0.7352
Ge4 0.4788 0.4788 0.3072
Ge5 0.5212 0.5212 0.6928
Ge6 0.6324 0.6324 0.2648
Ge7 0.8263 0.8263 0.1022
Ge8 0.8760 0.8760 0.5887
Ir1 0.0000 0.0000 0.5000
Ir2 0.3482 0.3482 0.9992
Ir3 0.6518 0.6518 0.0008

Largest 8 diffraction maxima, in order of rising 2θ, 10 to 80 degrees two-theta:
d 3.266, I 77.9
d 2.985, I 54.8
d 2.677, I 71.3
d 2.661, I 97.8
d 2.624, I 47.9
d 2.541, I 58.3
d 2.404, I 47.1
d 2.216, I 100.0

[2]
This entry pairs a crystal structure of Pm2Ge3Ir5 with its calculated PXRD pattern. Radiation: λ = 1.5418 Å (Cu Kα). Structure: a structure optimized by DFT (GGA-PBE).

abc: 12.4350 12.4350 6.8505
angles: 90.00 90.00 160.42
Element x y z (fractional)
Pm1 0.0226 0.9774 0.5000
Pm2 0.3245 0.6755 0.5144
Pm3 0.6755 0.3245 0.0144
Pm4 0.9774 0.0226 0.0000
Ge1 0.1112 0.8888 0.2218
Ge2 0.2665 0.7335 0.0268
Ge3 0.4529 0.5471 0.2983
Ge4 0.5471 0.4529 0.7983
Ge5 0.7335 0.2665 0.5268
Ge6 0.8888 0.1112 0.7218
Ir1 0.1008 0.8992 0.8403
Ir2 0.2067 0.7933 0.3300
Ir3 0.2080 0.7920 0.7280
Ir4 0.3670 0.6330 0.0612
Ir5 0.4431 0.5569 0.6670
Ir6 0.5569 0.4431 0.1670
Ir7 0.6330 0.3670 0.5612
Ir8 0.7920 0.2080 0.2280
Ir9 0.7933 0.2067 0.8300
Ir10 0.8992 0.1008 0.3403

Largest 8 diffraction maxima, in order of rising 2θ, 10 to 80 degrees two-theta:
d 2.646, I 24.7
d 2.531, I 100.0
d 2.510, I 61.0
d 2.308, I 22.4
d 2.290, I 38.2
d 2.140, I 30.3
d 2.115, I 56.8
d 1.375, I 28.1